KCoIF2: computed PXRD pattern (λ = 1.5418 Å (Cu Kα)), based on a structure optimized by DFT (GGA+U).
No peak broadening, texture or thermal motion is included.

Peak list (6 most intense, 10 to 90 degrees two-theta, sorted by position)
h k l  2θ/deg  intensity
0 2 0  13.49  60.8
0 4 1  29.47  33.3
1 3 1  31.66  46.2
1 1 2  31.88  100.0
2 0 0  43.19  16.9
1 3 3  45.68  11.9

Atomic structure:
```
data_KCoIF2
_cell_length_a 4.1895
_cell_length_b 13.1322
_cell_length_c 7.8954
_cell_angle_alpha 90.00
_cell_angle_beta 90.00
_cell_angle_gamma 90.00
_symmetry_space_group_name_H-M 'C m c m'
_symmetry_Int_Tables_number 63
_symmetry_space_group_name_Hall '-C 2c 2'
loop_
_atom_site_label
_atom_site_fract_x
_atom_site_fract_y
_atom_site_fract_z
_atom_site_occupancy
K1 0.0000 0.2200 0.2500 1
Co1 0.0000 0.5000 0.0000 1
I1 0.0000 0.0498 0.7500 1
F1 0.0000 0.3585 0.5497 1
```